# 1
ThCu5Sn: simulated powder diffraction line list (Cu Kα, 1.54184 Å), based on a GGA-PBE-relaxed structure.

Main lines, sorted by position (2θ = 15–90°):
- 30.76°, I = 20.3, hkl 0 1 3
- 32.62°, I = 19.3, hkl 1 1 3
- 35.17°, I = 22.6, hkl 0 2 0
- 35.51°, I = 29.3, hkl 1 0 4
- 37.73°, I = 100.0, hkl 3 1 1
- 44.17°, I = 27.7, hkl 2 1 4
- 45.14°, I = 18.3, hkl 1 2 3
- 64.80°, I = 20.1, hkl 3 3 1

Structural model:
```
ThCu5Sn
1.0
8.357 0.000 0.000
0.000 5.104 0.000
0.000 0.000 10.609
Th Cu Sn
4 20 4
Direct
0.250 0.250 0.057
0.250 0.750 0.557
0.750 0.250 0.443
0.750 0.750 0.943
0.067 0.250 0.606
0.072 0.502 0.813
0.072 0.998 0.813
0.081 0.750 0.018
0.180 0.750 0.245
0.320 0.250 0.745
0.419 0.250 0.518
0.428 0.002 0.313
0.428 0.498 0.313
0.433 0.750 0.106
0.567 0.250 0.894
0.572 0.502 0.687
0.572 0.998 0.687
0.581 0.750 0.482
0.680 0.750 0.255
0.820 0.250 0.755
0.919 0.250 0.982
0.928 0.002 0.187
0.928 0.498 0.187
0.933 0.750 0.394
0.135 0.250 0.359
0.365 0.750 0.859
0.635 0.250 0.141
0.865 0.750 0.641
```

# 2
TiCuSn: simulated powder diffraction line list (Cu Kα, 1.54184 Å), based on a GGA-PBE-relaxed structure.

Main lines, sorted by position (2θ = 15–90°):
- 27.60°, I = 22.4, hkl 1 0 1
- 29.59°, I = 27.4, hkl 0 0 2
- 37.96°, I = 86.0, hkl 1 0 2
- 40.85°, I = 100.0, hkl 1 1 0
- 51.25°, I = 45.5, hkl 1 1 2
- 56.99°, I = 25.2, hkl 2 0 2
- 72.47°, I = 24.1, hkl 2 1 2
- 76.42°, I = 27.1, hkl 1 1 4

Structural model:
```
TiCuSn
1.0
4.418 0.000 0.000
-2.209 3.826 0.000
0.000 0.000 6.038
Ti Cu Sn
2 2 2
Direct
0.000 0.000 0.000
0.000 0.000 0.500
0.333 0.667 0.277
0.667 0.333 0.777
0.333 0.667 0.745
0.667 0.333 0.245
```